Simulated powder diffractogram of SrInGaPt3 for Cu Kα, from DFT lattice parameters and positions (GGA-PBE).
Lines closer than 0.1° are merged.

Cell and atoms:
a b c (Å): 8.7872 8.7872 5.8649
angles (deg): 90.00 90.00 140.82
Fractional coordinates of all 12 atoms:
Sr  0.2190  0.7810  0.7500
Sr  0.7810  0.2190  0.2500
In  0.3961  0.6039  0.2500
In  0.6039  0.3961  0.7500
Ga  0.0879  0.9121  0.2500
Ga  0.9121  0.0879  0.7500
Pt  0.2362  0.7638  0.2500
Pt  0.2469  0.2469  0.0000
Pt  0.2469  0.2469  0.5000
Pt  0.7531  0.7531  0.0000
Pt  0.7531  0.7531  0.5000
Pt  0.7638  0.2362  0.7500

Largest 12 diffraction maxima, in order of rising 2θ, 10 to 80 degrees two-theta:
| 2theta | I (rel.) |
| --- | --- |
| 10.69 | 56.9 |
| 21.47 | 91.1 |
| 22.05 | 70.0 |
| 32.25 | 100.0 |
| 32.39 | 99.1 |
| 43.54 | 92.3 |
| 44.04 | 31.7 |
| 45.00 | 70.4 |
| 45.12 | 62.8 |
| 49.04 | 42.3 |
| 63.43 | 42.2 |
| 73.01 | 31.1 |